# 1
This entry pairs a crystal structure of Ca8Mn8O23 with its theoretical powder XRD pattern. Radiation: Cu Kα, 1.54184 Å. Structure: a structure optimized by DFT (GGA+U).
Neutral-atom scattering factors, no anomalous dispersion.

Cell and atoms:
Cell lengths 7.6172, 7.6172, 7.6732 Å; angles 90.00, 90.00, 90.00 degrees
Fractional positions:
Ca: 0.2354 0.2354 0.0000
Ca: 0.2354 0.7646 0.0000
Ca: 0.2443 0.2443 0.5000
Ca: 0.2443 0.7557 0.5000
Ca: 0.7557 0.2443 0.5000
Ca: 0.7557 0.7557 0.5000
Ca: 0.7646 0.2354 0.0000
Ca: 0.7646 0.7646 0.0000
Mn: 0.0000 0.0000 0.2513
Mn: 0.0000 0.0000 0.7487
Mn: 0.0000 0.5000 0.2537
Mn: 0.0000 0.5000 0.7463
Mn: 0.5000 0.0000 0.2537
Mn: 0.5000 0.0000 0.7463
Mn: 0.5000 0.5000 0.2417
Mn: 0.5000 0.5000 0.7583
O: 0.0000 0.0000 0.0000
O: 0.0000 0.0000 0.5000
O: 0.0000 0.2499 0.2414
O: 0.0000 0.2499 0.7586
O: 0.0000 0.5000 0.0000
O: 0.0000 0.5000 0.5000
O: 0.0000 0.7501 0.2414
O: 0.0000 0.7501 0.7586
O: 0.2499 0.0000 0.2414
O: 0.2499 0.0000 0.7586
O: 0.2542 0.5000 0.2818
O: 0.2542 0.5000 0.7182
O: 0.5000 0.0000 0.0000
O: 0.5000 0.0000 0.5000
O: 0.5000 0.2542 0.2818
O: 0.5000 0.2542 0.7182
O: 0.5000 0.5000 0.0000
O: 0.5000 0.7458 0.2818
O: 0.5000 0.7458 0.7182
O: 0.7458 0.5000 0.2818
O: 0.7458 0.5000 0.7182
O: 0.7501 0.0000 0.2414
O: 0.7501 0.0000 0.7586

Most intense lines, 2θ from 10° to 90°, by intensity:
- 33.14°, intensity 100
- 47.76°, intensity 47
- 33.27°, intensity 44
- 59.37°, intensity 33
- 69.56°, intensity 24
- 47.39°, intensity 23


# 2
This entry pairs a crystal structure of Li2Mn3GaO8 with its theoretical powder XRD pattern. Radiation: Cu Kα, 1.54184 Å. Structure: a structure optimized by DFT (GGA+U).
Neutral-atom scattering factors, no anomalous dispersion.

Cell and atoms:
Cell lengths 5.9083, 5.9083, 5.9083 Å; angles 60.40, 60.40, 60.40 degrees
Fractional positions:
Li: 0.1216 0.1216 0.1216
Li: 0.8784 0.8784 0.8784
Mn: 0.0000 0.5000 0.5000
Mn: 0.5000 0.0000 0.5000
Mn: 0.5000 0.5000 0.0000
Ga: 0.5000 0.5000 0.5000
O: 0.2603 0.2603 0.7080
O: 0.2603 0.7080 0.2603
O: 0.2606 0.2606 0.2606
O: 0.2920 0.7397 0.7397
O: 0.7080 0.2603 0.2603
O: 0.7394 0.7394 0.7394
O: 0.7397 0.2920 0.7397
O: 0.7397 0.7397 0.2920

Most intense lines, 2θ from 10° to 90°, by intensity:
- 18.30°, intensity 100
- 43.18°, intensity 66
- 35.49°, intensity 43
- 18.45°, intensity 22
- 62.50°, intensity 20
- 62.92°, intensity 20


Question: Which formula does entry 1 have?
Answer: Ca8Mn8O23